1.
For Te2MoWSe2, a DFT-relaxed cell (PBE, the Materials Project) gives the simulated X-ray diffraction stick pattern in this record (a wavelength of 1.5418 Å).
Peak positions follow from Bragg's law for the DFT cell and can differ from measured ones.

Structural model:
```
12
Lattice="3.4428 0.0000 0.0000 -1.7214 2.9816 0.0000 0.0000 0.0000 39.1233" Properties=species:S:1:pos:R:3 pbc="T T T"
Te 0.0000 1.9877 9.1608
Te 0.0000 1.9877 12.8890
Te 1.7214 0.9939 26.2343
Te 1.7214 0.9939 29.9625
Mo 0.0000 1.9877 3.6745
Mo 1.7214 0.9939 35.4488
W 0.0000 1.9877 28.0984
W 1.7214 0.9939 11.0249
Se 0.0000 1.9877 33.8133
Se 0.0000 1.9877 37.0831
Se 1.7214 0.9939 2.0402
Se 1.7214 0.9939 5.3100
```

Largest 10 diffraction maxima, in order of falling intensity, 2θ = 10–90°:
(hkl)	2theta	Rel. int.
0 0 5	11.31	100
1 0 8	35.25	95
0 1 13	42.69	59
1 0 0	29.98	42
1 1 0	53.21	33
0 1 10	37.94	24
1 0 14	44.43	17
1 1 21	75.14	17
1 0 5	32.12	16
2 0 8	65.45	15

=====

2.
For TeMoWSe3, a DFT-relaxed cell (PBE, the Materials Project) gives the simulated X-ray diffraction stick pattern in this record (a wavelength of 1.5418 Å).
Peak positions follow from Bragg's law for the DFT cell and can differ from measured ones.

Structural model:
```
12
Lattice="3.3830 0.0000 0.0000 -1.6915 2.9298 0.0000 0.0000 0.0000 38.4739" Properties=species:S:1:pos:R:3 pbc="T T T"
Te 0.0000 0.0000 0.0000
Te 0.0000 0.0000 3.7791
Mo 0.0000 0.0000 33.1345
Mo 0.0000 1.9532 25.9073
W 0.0000 0.0000 18.6786
W 0.0000 1.9532 1.8903
Se 0.0000 0.0000 24.2530
Se 0.0000 0.0000 27.5611
Se 0.0000 1.9532 17.0182
Se 0.0000 1.9532 20.3394
Se 0.0000 1.9532 31.4812
Se 0.0000 1.9532 34.7885
```

Largest 10 diffraction maxima, in order of falling intensity, 2θ = 10–90°:
(hkl)	2theta	Rel. int.
0 0 5	11.50	100
1 0 8	35.89	85
0 1 13	43.46	53
1 0 0	30.52	39
1 1 0	54.23	30
0 1 10	38.63	18
1 0 14	45.24	16
1 0 5	32.71	15
1 1 21	76.67	15
0 0 6	13.81	14

=====

3.
For Te2MoWSe2, a DFT-relaxed cell (PBE, the Materials Project) gives the simulated X-ray diffraction stick pattern in this record (a wavelength of 1.5418 Å).
Peak positions follow from Bragg's law for the DFT cell and can differ from measured ones.

Structural model:
```
12
Lattice="3.4430 0.0000 0.0000 -1.7215 2.9818 0.0000 0.0000 0.0000 39.1154" Properties=species:S:1:pos:R:3 pbc="T T T"
Te 0.0000 0.0000 0.0000
Te 0.0000 0.0000 3.7277
Te 0.0000 0.0000 14.6971
Te 0.0000 0.0000 18.4245
Mo 0.0000 0.0000 9.2131
Mo 0.0000 0.0000 33.6303
W 0.0000 1.9878 1.8644
W 0.0000 1.9878 16.5614
Se 0.0000 1.9878 7.5773
Se 0.0000 1.9878 10.8476
Se 0.0000 1.9878 31.9965
Se 0.0000 1.9878 35.2652
```

Largest 10 diffraction maxima, in order of falling intensity, 2θ = 10–90°:
(hkl)	2theta	Rel. int.
0 0 5	11.31	100
1 0 8	35.26	92
1 0 13	42.69	59
1 0 0	29.98	46
1 1 0	53.22	36
1 0 14	44.44	19
1 0 5	32.12	17
1 1 21	75.15	16
2 0 8	65.45	15
0 0 6	13.58	14

=====

4.
For Te3MoWSe, a DFT-relaxed cell (PBE, the Materials Project) gives the simulated X-ray diffraction stick pattern in this record (a wavelength of 1.5418 Å).
Peak positions follow from Bragg's law for the DFT cell and can differ from measured ones.

Structural model:
```
12
Lattice="3.5003 0.0000 0.0000 -1.7502 3.0314 0.0000 0.0000 0.0000 39.5992" Properties=species:S:1:pos:R:3 pbc="T T T"
Te 0.0000 0.0000 0.0000
Te 0.0000 0.0000 3.6595
Te 0.0000 0.0000 24.7096
Te 0.0000 0.0000 28.3926
Te 1.7502 1.0105 7.4282
Te 1.7502 1.0105 11.1112
Mo 0.0000 0.0000 33.9902
Mo 1.7502 1.0105 1.8294
W 0.0000 0.0000 9.2705
W 1.7502 1.0105 26.5506
Se 1.7502 1.0105 32.3719
Se 1.7502 1.0105 35.6082
```

Largest 10 diffraction maxima, in order of falling intensity, 2θ = 10–90°:
(hkl)	2theta	Rel. int.
1 0 8	34.70	100
0 0 5	11.17	95
0 1 13	42.05	63
1 0 0	29.47	47
1 1 0	52.27	37
0 1 10	37.36	21
1 1 21	73.88	19
1 0 14	43.77	18
0 2 8	64.27	17
2 1 8	87.37	16

=====

5.
For Te2MoWSe2, a DFT-relaxed cell (PBE, the Materials Project) gives the simulated X-ray diffraction stick pattern in this record (a wavelength of 1.5418 Å).
Peak positions follow from Bragg's law for the DFT cell and can differ from measured ones.

Structural model:
```
12
Lattice="3.4380 0.0000 0.0000 -1.7190 2.9774 0.0000 0.0000 0.0000 39.1395" Properties=species:S:1:pos:R:3 pbc="T T T"
Te 0.0000 0.0000 0.0000
Te 0.0000 0.0000 3.7320
Te 0.0000 1.9849 31.7953
Te 0.0000 1.9849 35.5038
Mo 0.0000 0.0000 9.2174
Mo 0.0000 0.0000 33.6489
W 0.0000 1.9849 1.8662
W 0.0000 1.9849 16.5705
Se 0.0000 0.0000 14.9297
Se 0.0000 0.0000 18.2117
Se 0.0000 1.9849 7.5803
Se 0.0000 1.9849 10.8540
```

Largest 10 diffraction maxima, in order of falling intensity, 2θ = 10–90°:
(hkl)	2theta	Rel. int.
0 0 5	11.30	100
1 0 8	35.29	92
1 0 13	42.71	59
1 0 0	30.03	47
1 1 0	53.30	36
0 1 14	44.45	19
0 0 6	13.57	16
1 1 21	75.19	16
1 0 5	32.17	16
2 0 8	65.54	15

=====

6.
For Te3MoWSe, a DFT-relaxed cell (PBE, the Materials Project) gives the simulated X-ray diffraction stick pattern in this record (a wavelength of 1.5418 Å).
Peak positions follow from Bragg's law for the DFT cell and can differ from measured ones.

Structural model:
```
12
Lattice="3.4969 0.0000 0.0000 -1.7484 3.0284 0.0000 0.0000 0.0000 39.6165" Properties=species:S:1:pos:R:3 pbc="T T T"
Te 0.0000 0.0000 0.0000
Te 0.0000 0.0000 3.6653
Te 0.0000 0.0000 14.8737
Te 0.0000 0.0000 18.5617
Te 0.0000 2.0189 32.1735
Te 0.0000 2.0189 35.8390
Mo 0.0000 0.0000 34.0053
Mo 0.0000 2.0189 1.8336
W 0.0000 0.0000 9.2751
W 0.0000 2.0189 16.7179
Se 0.0000 2.0189 7.6514
Se 0.0000 2.0189 10.8985
```

Largest 10 diffraction maxima, in order of falling intensity, 2θ = 10–90°:
(hkl)	2theta	Rel. int.
0 1 8	34.72	100
0 0 5	11.17	100
1 0 13	42.06	64
1 0 0	29.51	54
1 1 0	52.33	39
1 0 14	43.78	21
1 1 21	73.91	19
2 0 8	64.33	17
0 0 6	13.41	17
1 2 8	87.46	16

=====

7.
For TeMoWSe3, a DFT-relaxed cell (PBE, the Materials Project) gives the simulated X-ray diffraction stick pattern in this record (a wavelength of 1.5418 Å).
Peak positions follow from Bragg's law for the DFT cell and can differ from measured ones.

Structural model:
```
12
Lattice="3.3791 0.0000 0.0000 -1.6896 2.9264 0.0000 0.0000 0.0000 38.4645" Properties=species:S:1:pos:R:3 pbc="T T T"
Te 0.0000 0.0000 0.0000
Te 0.0000 0.0000 3.7574
Mo 0.0000 0.0000 33.1170
Mo 1.6896 0.9755 1.8785
W 0.0000 0.0000 9.1063
W 1.6896 0.9755 25.8910
Se 0.0000 0.0000 24.2303
Se 0.0000 0.0000 27.5517
Se 1.6896 0.9755 7.4452
Se 1.6896 0.9755 10.7664
Se 1.6896 0.9755 31.4625
Se 1.6896 0.9755 34.7708
```

Largest 10 diffraction maxima, in order of falling intensity, 2θ = 10–90°:
(hkl)	2theta	Rel. int.
0 0 5	11.50	100
1 0 8	35.93	86
0 1 13	43.50	54
1 0 0	30.57	45
1 1 0	54.30	31
1 0 14	45.27	15
1 1 21	76.74	15
1 0 5	32.74	14
0 2 8	66.83	14
2 0 13	72.00	12

=====

8.
For Te2MoWSe2, a DFT-relaxed cell (PBE, the Materials Project) gives the simulated X-ray diffraction stick pattern in this record (a wavelength of 1.5418 Å).
Peak positions follow from Bragg's law for the DFT cell and can differ from measured ones.

Structural model:
```
12
Lattice="3.4387 0.0000 0.0000 -1.7193 2.9780 0.0000 0.0000 0.0000 39.1163" Properties=species:S:1:pos:R:3 pbc="T T T"
Te 0.0000 0.0000 0.0000
Te 0.0000 0.0000 3.7094
Te 0.0000 0.0000 14.6862
Te 0.0000 0.0000 18.4184
Mo 0.0000 0.0000 9.2027
Mo 1.7193 0.9927 1.8541
W 0.0000 0.0000 23.9013
W 1.7193 0.9927 16.5511
Se 1.7193 0.9927 7.5679
Se 1.7193 0.9927 10.8409
Se 1.7193 0.9927 22.2610
Se 1.7193 0.9927 25.5418
```

Largest 10 diffraction maxima, in order of falling intensity, 2θ = 10–90°:
(hkl)	2theta	Rel. int.
0 0 5	11.31	100
1 0 8	35.29	92
1 0 13	42.72	58
1 0 0	30.02	47
1 1 0	53.29	36
1 0 14	44.46	19
0 0 6	13.58	17
1 1 21	75.21	16
2 0 8	65.53	15
1 0 5	32.16	14

=====

9.
For Te2MoWSe2, a DFT-relaxed cell (PBE, the Materials Project) gives the simulated X-ray diffraction stick pattern in this record (a wavelength of 1.5418 Å).
Peak positions follow from Bragg's law for the DFT cell and can differ from measured ones.

Structural model:
```
12
Lattice="3.4435 0.0000 0.0000 -1.7218 2.9822 0.0000 0.0000 0.0000 39.1418" Properties=species:S:1:pos:R:3 pbc="T T T"
Te 0.0000 1.9881 14.0294
Te 0.0000 1.9881 17.7573
Te 1.7218 0.9941 21.3845
Te 1.7218 0.9941 25.1125
Mo 0.0000 1.9881 8.5401
Mo 1.7218 0.9941 30.6017
W 0.0000 1.9881 23.2487
W 1.7218 0.9941 15.8931
Se 0.0000 1.9881 28.9650
Se 0.0000 1.9881 32.2370
Se 1.7218 0.9941 6.9048
Se 1.7218 0.9941 10.1768
```

Largest 10 diffraction maxima, in order of falling intensity, 2θ = 10–90°:
(hkl)	2theta	Rel. int.
0 0 5	11.30	100
1 0 8	35.25	90
1 0 13	42.67	59
1 0 0	29.99	51
1 1 0	53.21	41
1 0 9	36.53	23
0 1 14	44.42	21
1 1 21	75.11	18
0 1 7	34.07	18
0 0 6	13.57	15

=====

10.
For Te2MoWSe2, a DFT-relaxed cell (PBE, the Materials Project) gives the simulated X-ray diffraction stick pattern in this record (a wavelength of 1.5418 Å).
Peak positions follow from Bragg's law for the DFT cell and can differ from measured ones.

Structural model:
```
6
Lattice="3.4340 0.0000 0.0000 -1.7170 2.9740 0.0000 0.0000 0.0000 24.4092" Properties=species:S:1:pos:R:3 pbc="T T T"
Te 0.0000 0.0000 0.0000
Te 0.0000 0.0000 3.7174
Mo 0.0000 1.9826 1.8591
W 0.0000 0.0000 18.9212
Se 0.0000 1.9826 17.2768
Se 0.0000 1.9826 20.5672
```

Largest 10 diffraction maxima, in order of falling intensity, 2θ = 10–90°:
(hkl)	2theta	Rel. int.
0 0 3	10.87	100
1 0 5	35.34	71
1 0 8	42.44	50
1 0 0	30.05	33
0 1 6	37.46	28
1 1 0	53.36	22
1 0 1	30.28	21
1 0 9	45.25	19
0 1 4	33.52	16
1 0 3	32.04	14

=====

11.
For Te2MoWSe2, a DFT-relaxed cell (PBE, the Materials Project) gives the simulated X-ray diffraction stick pattern in this record (a wavelength of 1.5418 Å).
Peak positions follow from Bragg's law for the DFT cell and can differ from measured ones.

Structural model:
```
12
Lattice="3.4361 0.0000 0.0000 -1.7181 2.9758 0.0000 0.0000 0.0000 39.1467" Properties=species:S:1:pos:R:3 pbc="T T T"
Te 0.0000 0.0000 0.0000
Te 0.0000 0.0000 3.7150
Te 0.0000 1.9839 31.7914
Te 0.0000 1.9839 35.5062
Mo 0.0000 0.0000 33.6481
Mo 0.0000 1.9839 1.8581
W 0.0000 0.0000 9.2120
W 0.0000 1.9839 16.5661
Se 0.0000 0.0000 14.9216
Se 0.0000 0.0000 18.2103
Se 0.0000 1.9839 7.5667
Se 0.0000 1.9839 10.8561
```

Largest 10 diffraction maxima, in order of falling intensity, 2θ = 10–90°:
(hkl)	2theta	Rel. int.
0 0 5	11.30	100
1 0 8	35.30	90
1 0 13	42.72	58
1 0 0	30.05	48
1 1 0	53.33	35
0 0 6	13.57	19
1 0 14	44.46	19
1 1 21	75.21	16
2 0 8	65.58	15
1 0 5	32.18	13

=====

12.
For Te2MoWSe2, a DFT-relaxed cell (PBE, the Materials Project) gives the simulated X-ray diffraction stick pattern in this record (a wavelength of 1.5418 Å).
Peak positions follow from Bragg's law for the DFT cell and can differ from measured ones.

Structural model:
```
6
Lattice="3.4418 0.0000 0.0000 -1.7209 2.9807 0.0000 0.0000 0.0000 24.4289" Properties=species:S:1:pos:R:3 pbc="T T T"
Te 0.0000 0.0000 0.0000
Te 0.0000 0.0000 3.7289
Mo 0.0000 0.0000 9.2167
W 1.7209 0.9936 1.8641
Se 1.7209 0.9936 7.5800
Se 1.7209 0.9936 10.8515
```

Largest 10 diffraction maxima, in order of falling intensity, 2θ = 10–90°:
(hkl)	2theta	Rel. int.
0 0 3	10.86	100
1 0 5	35.27	68
1 0 8	42.38	50
0 1 6	37.39	33
1 0 0	29.98	28
1 1 0	53.23	22
1 0 1	30.21	20
0 1 4	33.45	19
1 0 9	45.18	19
1 0 3	31.97	16